The following is a theoretical powder diffractogram of TiGaPd. It was derived from a PBE-relaxed structure, using Cu Ka.

Crystal structure
Lattice parameters (Å, degrees): 5.4295 5.4295 6.1374 106.48 106.48 32.69
Positions (direct):
Ti 0.1808 0.1808 0.1203
Ti 0.8192 0.8192 0.8797
Ga 0.4733 0.4733 0.2243
Ga 0.5267 0.5267 0.7757
Pd 0.1462 0.1462 0.5459
Pd 0.8538 0.8538 0.4541

Top 6 peaks for 2θ = 15–90°, low angle first:
2θ/deg, d/Å, I (rel.)
15.11, 5.863, 40
40.01, 2.253, 100
40.12, 2.248, 97
41.71, 2.165, 93
43.50, 2.080, 21
75.13, 1.265, 26